This entry pairs a crystal structure of Ga4Bi3N with its calculated powder diffractogram. Radiation: Cu Kα, 1.54184 Å. Structure: a DFT-relaxed cell (PBE, the Materials Project).
Intensities are scaled so that the largest is 100.

The 8 most intense peaks (2θ = 10–90°), by angle:
index	Position (°2θ)	Rel. int.
0 2 2	25.27	96
1 0 2	26.05	100
1 2 0	29.50	22
1 3 1	38.32	30
1 2 4	42.67	69
2 0 0	43.20	23
1 4 2	49.39	26
2 2 2	50.69	43

Structural model:
Lattice parameters (Å, degrees): 4.1880 8.7656 11.8631 90.00 90.00 90.00
Space group Amm2 (No. 38)
Asymmetric unit:
Ga  0.0000  0.0000  0.0000 (multiplicity 2)
Ga  0.0000  0.0000  0.4409 (multiplicity 2)
Ga  0.5000  0.1838  0.1771 (multiplicity 4)
Bi  0.0000  0.2387  0.8205 (multiplicity 4)
Bi  0.5000  0.0000  0.5928 (multiplicity 2)
N  0.5000  0.0000  0.0789 (multiplicity 2)



This entry pairs a crystal structure of Ga4BiN3 with its calculated powder diffractogram. Radiation: Cu Kα, 1.54184 Å. Structure: a DFT-relaxed cell (PBE, the Materials Project).
Intensities are scaled so that the largest is 100.

The 8 most intense peaks (2θ = 10–90°), by angle:
index	Position (°2θ)	Rel. int.
0 0 6	13.06	24
1 0 1	31.76	27
1 0 4	32.92	100
0 0 15	33.04	45
0 1 11	40.19	51
1 0 19	53.74	20
1 1 0	56.44	34
1 1 15	66.96	47

Structural model:
Lattice parameters (Å, degrees): 3.2607 3.2607 40.6622 90.00 90.00 120.00
Space group R3m (No. 160, hexagonal axes)
Asymmetric unit:
Ga  0.0000  0.0000  0.0000 (multiplicity 3)
Ga  0.0000  0.0000  0.1936 (multiplicity 3)
Ga  0.0000  0.0000  0.4622 (multiplicity 3)
Ga  0.0000  0.0000  0.7317 (multiplicity 3)
Bi  0.0000  0.0000  0.2640 (multiplicity 3)
N  0.0000  0.0000  0.0491 (multiplicity 3)
N  0.0000  0.0000  0.5101 (multiplicity 3)
N  0.0000  0.0000  0.7795 (multiplicity 3)



This entry pairs a crystal structure of GaBi2N3 with its calculated powder diffractogram. Radiation: Cu Kα, 1.54184 Å. Structure: a DFT-relaxed cell (PBE, the Materials Project).
Intensities are scaled so that the largest is 100.

The 8 most intense peaks (2θ = 10–90°), by angle:
index	Position (°2θ)	Rel. int.
1 1 -2	20.68	36
0 0 4	24.59	100
2 0 0	30.66	69
1 3 -2	31.67	81
1 3 2	32.48	78
0 2 5	35.29	35
1 1 -7	46.33	36
1 1 7	48.41	25

Structural model:
Lattice parameters (Å, degrees): 5.8449 10.6072 14.5233 90.00 93.85 90.00
Space group C2/c (No. 15)
Asymmetric unit:
Ga  0.2136  0.0427  0.1731 (multiplicity 8)
Bi  0.2034  0.3188  0.6366 (multiplicity 8)
Bi  0.2407  0.3663  0.0802 (multiplicity 8)
N  0.0000  0.1350  0.2500 (multiplicity 4)
N  0.0000  0.4148  0.7500 (multiplicity 4)
N  0.1087  0.1185  0.6273 (multiplicity 8)
N  0.2284  0.3425  0.9282 (multiplicity 8)



This entry pairs a crystal structure of GaBiN2 with its calculated powder diffractogram. Radiation: Cu Kα, 1.54184 Å. Structure: a DFT-relaxed cell (PBE, the Materials Project).
Intensities are scaled so that the largest is 100.

The 8 most intense peaks (2θ = 10–90°), by angle:
index	Position (°2θ)	Rel. int.
1 1 0	18.05	38
2 0 0	23.88	44
1 1 1	25.81	56
2 1 0	27.56	38
2 1 -1	28.83	55
1 0 -2	31.08	40
0 2 1	31.63	100
1 2 -3	55.08	26

Structural model:
Lattice parameters (Å, degrees): 7.6691 6.5351 5.8176 90.00 103.68 90.00
Space group P2_1/c (No. 14)
Asymmetric unit:
Ga  0.1251  0.1392  0.1368 (multiplicity 4)
Bi  0.3047  0.6153  0.1877 (multiplicity 4)
N  0.1461  0.6253  0.4684 (multiplicity 4)
N  0.2123  0.1464  0.4714 (multiplicity 4)



This entry pairs a crystal structure of Ga2BiN with its calculated powder diffractogram. Radiation: Cu Kα, 1.54184 Å. Structure: a DFT-relaxed cell (PBE, the Materials Project).
Intensities are scaled so that the largest is 100.

The 8 most intense peaks (2θ = 10–90°), by angle:
index	Position (°2θ)	Rel. int.
0 0 3	10.28	54
0 0 9	31.19	46
1 0 1	31.82	35
0 1 2	32.39	100
1 0 4	34.62	32
1 0 7	40.17	45
0 1 11	50.54	29
1 1 9	65.79	32

Structural model:
Lattice parameters (Å, degrees): 3.2672 3.2672 25.8070 90.00 90.00 120.00
Space group R3m (No. 160, hexagonal axes)
Asymmetric unit:
Ga  0.0000  0.0000  0.0000 (multiplicity 3)
Ga  0.0000  0.0000  0.4362 (multiplicity 3)
Bi  0.0000  0.0000  0.8892 (multiplicity 3)
N  0.0000  0.0000  0.3578 (multiplicity 3)



This entry pairs a crystal structure of Ga4Bi2O9 with its calculated powder diffractogram. Radiation: Cu Kα, 1.54184 Å. Structure: a DFT-relaxed cell (PBE, the Materials Project).
Intensities are scaled so that the largest is 100.

The 8 most intense peaks (2θ = 10–90°), by angle:
index	Position (°2θ)	Rel. int.
0 0 1	14.75	36
1 2 1	28.12	100
2 1 1	28.74	90
1 1 2	33.58	27
1 3 0	33.74	25
2 0 2	37.38	26
1 4 1	47.00	30
3 3 2	56.45	46

Structural model:
Lattice parameters (Å, degrees): 8.0393 8.4446 6.0049 90.00 90.00 90.00
Space group Pbam (No. 55)
Asymmetric unit:
Ga  0.0000  0.0000  0.2413 (multiplicity 4)
Ga  0.1486  0.3377  0.0000 (multiplicity 4)
Bi  0.1768  0.6734  0.5000 (multiplicity 4)
O  0.0000  0.5000  0.0000 (multiplicity 2)
O  0.1269  0.2095  0.2564 (multiplicity 8)
O  0.1325  0.9084  0.0000 (multiplicity 4)
O  0.1497  0.9355  0.5000 (multiplicity 4)



This entry pairs a crystal structure of GaBi12O20 with its calculated powder diffractogram. Radiation: Cu Kα, 1.54184 Å. Structure: a DFT-relaxed cell (PBE, the Materials Project).
Intensities are scaled so that the largest is 100.

The 8 most intense peaks (2θ = 10–90°), by angle:
index	Position (°2θ)	Rel. int.
2 2 0	24.59	22
3 1 0	27.54	100
2 2 2	30.23	23
3 2 1	32.72	68
5 0 3	52.08	44
6 0 0	53.70	18
5 3 2	55.30	29
6 3 1	61.41	21

Structural model:
Lattice parameters (Å, degrees): 10.2405 10.2405 10.2405 90.00 90.00 90.00
Space group I23 (No. 197)
Asymmetric unit:
Ga  0.0000  0.0000  0.0000 (multiplicity 2)
Bi  0.0108  0.1756  0.3164 (multiplicity 24)
O  0.0121  0.3688  0.7511 (multiplicity 24)
O  0.1068  0.1068  0.8932 (multiplicity 8)
O  0.1919  0.1919  0.1919 (multiplicity 8)



This entry pairs a crystal structure of Ga4Bi2O9 with its calculated powder diffractogram. Radiation: Cu Kα, 1.54184 Å. Structure: a DFT-relaxed cell (PBE, the Materials Project).
Intensities are scaled so that the largest is 100.

The 8 most intense peaks (2θ = 10–90°), by angle:
index	Position (°2θ)	Rel. int.
0 2 0	14.77	37
2 2 1	28.09	91
1 2 2	29.20	100
3 0 1	33.53	31
1 4 1	33.68	28
1 4 2	39.29	23
4 2 1	46.66	33
3 4 3	56.90	40

Structural model:
Lattice parameters (Å, degrees): 8.5323 11.9993 7.8222 90.00 90.00 90.00
Space group Pnma (No. 62)
Asymmetric unit:
Ga  0.0039  0.1285  0.0159 (multiplicity 8)
Ga  0.1502  0.7500  0.3516 (multiplicity 4)
Ga  0.1796  0.2500  0.3646 (multiplicity 4)
Bi  0.1783  0.0180  0.6703 (multiplicity 8)
O  0.0456  0.2500  0.5495 (multiplicity 4)
O  0.0609  0.5087  0.1557 (multiplicity 8)
O  0.0798  0.2500  0.1545 (multiplicity 4)
O  0.0990  0.7500  0.1173 (multiplicity 4)
O  0.2024  0.6169  0.8592 (multiplicity 8)
O  0.2210  0.1244  0.8954 (multiplicity 8)